This entry pairs a crystal structure of KCd6In with its simulated powder X-ray diffraction pattern. Radiation: Cu Ka. Structure: DFT lattice parameters and positions (PBE).
Kinematic intensities with the Lorentz-polarization factor, no thermal factor.

Most intense lines, 2θ from 5° to 70°, by angle:
2θ 8.18, intensity 50
2θ 30.40, intensity 97
2θ 36.44, intensity 100
2θ 37.05, intensity 29
2θ 48.17, intensity 26
2θ 61.88, intensity 24

Structure:
a = 11.1791 Å, b = 11.1791 Å, c = 11.1791 Å
α = 25.48°, β = 25.48°, γ = 25.48°
Atoms (fractional coordinates):
K1 0.0000 0.0000 0.0000
Cd1 0.1261 0.1261 0.1261
Cd2 0.2499 0.2499 0.2499
Cd3 0.4033 0.4033 0.4033
Cd4 0.5967 0.5967 0.5967
Cd5 0.7501 0.7501 0.7501
Cd6 0.8739 0.8739 0.8739
In1 0.5000 0.5000 0.5000

This entry pairs a crystal structure of CuGePd4 with its simulated powder X-ray diffraction pattern. Radiation: Cu Ka. Structure: DFT lattice parameters and positions (PBE).
Kinematic intensities with the Lorentz-polarization factor, no thermal factor.

Most intense lines, 2θ from 5° to 70°, by angle:
2θ 39.54, intensity 100
2θ 40.88, intensity 11
2θ 42.85, intensity 21
2θ 43.02, intensity 25
2θ 43.13, intensity 47
2θ 59.87, intensity 11

Structure:
a = 7.2597 Å, b = 2.9252 Å, c = 16.8201 Å
α = 90.00°, β = 90.00°, γ = 90.00°
Atoms (fractional coordinates):
Cu1 0.2467 0.2500 0.0575
Cu2 0.2533 0.7500 0.5575
Cu3 0.7467 0.2500 0.4425
Cu4 0.7533 0.7500 0.9425
Ge1 0.2387 0.2500 0.8138
Ge2 0.2613 0.7500 0.3138
Ge3 0.7387 0.2500 0.6862
Ge4 0.7613 0.7500 0.1862
Pd1 0.0440 0.7500 0.4308
Pd2 0.0600 0.7500 0.7056
Pd3 0.1145 0.7500 0.1720
Pd4 0.1152 0.7500 0.9369
Pd5 0.3848 0.2500 0.4369
Pd6 0.3855 0.2500 0.6720
Pd7 0.4400 0.2500 0.2056
Pd8 0.4560 0.2500 0.9308
Pd9 0.5440 0.7500 0.0692
Pd10 0.5600 0.7500 0.7944
Pd11 0.6145 0.7500 0.3280
Pd12 0.6152 0.7500 0.5631
Pd13 0.8848 0.2500 0.0631
Pd14 0.8855 0.2500 0.8280
Pd15 0.9400 0.2500 0.2944
Pd16 0.9560 0.2500 0.5692

This entry pairs a crystal structure of Ac2LaPm with its simulated powder X-ray diffraction pattern. Radiation: Cu Ka. Structure: DFT lattice parameters and positions (PBE).
Kinematic intensities with the Lorentz-polarization factor, no thermal factor.

Most intense lines, 2θ from 5° to 70°, by angle:
2θ 28.45, intensity 100
2θ 32.74, intensity 35
2θ 33.43, intensity 16
2θ 47.49, intensity 25
2θ 55.84, intensity 31
2θ 56.74, intensity 15

Structure:
a = 3.8683 Å, b = 3.8683 Å, c = 10.7231 Å
α = 90.00°, β = 90.00°, γ = 90.00°
Atoms (fractional coordinates):
Ac1 0.0000 0.0000 0.2459
Ac2 0.0000 0.0000 0.7541
La1 0.5000 0.5000 0.5000
Pm1 0.5000 0.5000 0.0000

This entry pairs a crystal structure of HoTm3Rh8 with its simulated powder X-ray diffraction pattern. Radiation: Cu Ka. Structure: DFT lattice parameters and positions (PBE).
Kinematic intensities with the Lorentz-polarization factor, no thermal factor.

Most intense lines, 2θ from 5° to 70°, by angle:
2θ 33.77, intensity 46
2θ 36.73, intensity 90
2θ 39.82, intensity 100
2θ 40.61, intensity 76
2θ 62.36, intensity 36
2θ 67.68, intensity 30

Structure:
a = 5.3078 Å, b = 5.3078 Å, c = 8.6718 Å
α = 90.00°, β = 90.00°, γ = 120.00°
Atoms (fractional coordinates):
Ho1 0.0000 0.0000 0.0000
Tm1 0.0000 0.0000 0.3677
Tm2 0.6667 0.3333 0.4994
Tm3 0.6667 0.3333 0.8665
Rh1 0.1640 0.3279 0.6828
Rh2 0.1640 0.8360 0.6828
Rh3 0.3333 0.6667 0.4333
Rh4 0.3333 0.6667 0.9331
Rh5 0.5027 0.0054 0.1840
Rh6 0.5027 0.4973 0.1840
Rh7 0.6721 0.8360 0.6828
Rh8 0.9946 0.4973 0.1840

This entry pairs a crystal structure of CaLaSm2Y4 with its simulated powder X-ray diffraction pattern. Radiation: Cu Ka. Structure: DFT lattice parameters and positions (PBE).
Kinematic intensities with the Lorentz-polarization factor, no thermal factor.

Most intense lines, 2θ from 5° to 70°, by angle:
2θ 26.41, intensity 68
2θ 29.63, intensity 50
2θ 29.81, intensity 100
2θ 40.11, intensity 44
2θ 40.25, intensity 88
2θ 59.88, intensity 26

Structure:
a = 9.6869 Å, b = 9.6869 Å, c = 9.6869 Å
α = 138.22°, β = 103.00°, γ = 91.68°
Atoms (fractional coordinates):
Ca1 0.5000 0.0000 0.0000
Ca2 0.5000 0.5000 0.5000
La1 0.0000 0.0000 0.0000
La2 0.5000 0.0000 0.5000
Sm1 0.0000 0.0000 0.5000
Sm2 0.0000 0.5000 0.0000
Sm3 0.0000 0.5000 0.5000
Sm4 0.5000 0.5000 0.0000
Y1 0.2368 0.7490 0.4879
Y2 0.2389 0.2510 0.9879
Y3 0.2486 0.2513 0.5027
Y4 0.2486 0.7459 0.9973
Y5 0.7514 0.2541 0.0027
Y6 0.7514 0.7487 0.4973
Y7 0.7611 0.7490 0.0121
Y8 0.7632 0.2510 0.5121

This entry pairs a crystal structure of Sr3ScP3 with its simulated powder X-ray diffraction pattern. Radiation: Cu Ka. Structure: DFT lattice parameters and positions (PBE).
Kinematic intensities with the Lorentz-polarization factor, no thermal factor.

Most intense lines, 2θ from 5° to 70°, by angle:
2θ 21.94, intensity 75
2θ 31.61, intensity 77
2θ 32.30, intensity 100
2θ 32.86, intensity 78
2θ 33.42, intensity 92
2θ 39.94, intensity 59

Structure:
a = 8.7921 Å, b = 7.6891 Å, c = 12.2433 Å
α = 90.00°, β = 96.01°, γ = 90.00°
Atoms (fractional coordinates):
Sr1 0.0879 0.1649 0.1297
Sr2 0.0879 0.3351 0.6297
Sr3 0.3205 0.7346 0.7935
Sr4 0.3205 0.7654 0.2935
Sr5 0.3998 0.2347 0.9222
Sr6 0.3998 0.2653 0.4222
Sr7 0.6002 0.7347 0.5778
Sr8 0.6002 0.7653 0.0778
Sr9 0.6795 0.2346 0.7065
Sr10 0.6795 0.2654 0.2065
Sr11 0.9121 0.6649 0.3703
Sr12 0.9121 0.8351 0.8703
Sc1 0.1691 0.5904 0.0511
Sc2 0.1691 0.9096 0.5511
Sc3 0.8309 0.0904 0.4489
Sc4 0.8309 0.4096 0.9489
P1 0.0895 0.0531 0.3663
P2 0.0895 0.4469 0.8663
P3 0.2600 0.6056 0.5151
P4 0.2600 0.8944 0.0151
P5 0.3749 0.0766 0.6649
P6 0.3749 0.4234 0.1649
P7 0.6251 0.5766 0.8351
P8 0.6251 0.9234 0.3351
P9 0.7400 0.1056 0.9849
P10 0.7400 0.3944 0.4849
P11 0.9105 0.5531 0.1337
P12 0.9105 0.9469 0.6337

This entry pairs a crystal structure of SiSbPt2 with its simulated powder X-ray diffraction pattern. Radiation: Cu Ka. Structure: DFT lattice parameters and positions (PBE).
Kinematic intensities with the Lorentz-polarization factor, no thermal factor.

Most intense lines, 2θ from 5° to 70°, by angle:
2θ 26.09, intensity 71
2θ 31.63, intensity 39
2θ 36.22, intensity 67
2θ 41.45, intensity 100
2θ 42.64, intensity 52
2θ 42.85, intensity 53

Structure:
a = 5.6571 Å, b = 16.1457 Å, c = 6.4089 Å
α = 90.00°, β = 90.00°, γ = 90.00°
Atoms (fractional coordinates):
Si1 0.1851 0.0538 0.0718
Si2 0.1851 0.4462 0.5718
Si3 0.3149 0.5538 0.0718
Si4 0.3149 0.9462 0.5718
Si5 0.6851 0.0538 0.4282
Si6 0.6851 0.4462 0.9282
Si7 0.8149 0.5538 0.4282
Si8 0.8149 0.9462 0.9282
Sb1 0.1746 0.6869 0.5844
Sb2 0.1746 0.8131 0.0844
Sb3 0.3254 0.1869 0.5844
Sb4 0.3254 0.3131 0.0844
Sb5 0.6746 0.6869 0.9156
Sb6 0.6746 0.8131 0.4156
Sb7 0.8254 0.1869 0.9156
Sb8 0.8254 0.3131 0.4156
Pt1 0.0052 0.0508 0.7014
Pt2 0.0052 0.4492 0.2014
Pt3 0.0142 0.6525 0.1976
Pt4 0.0142 0.8475 0.6976
Pt5 0.4858 0.1525 0.1976
Pt6 0.4858 0.3475 0.6976
Pt7 0.4948 0.5508 0.7014
Pt8 0.4948 0.9492 0.2014
Pt9 0.5052 0.0508 0.7986
Pt10 0.5052 0.4492 0.2986
Pt11 0.5142 0.6525 0.3024
Pt12 0.5142 0.8475 0.8024
Pt13 0.9858 0.1525 0.3024
Pt14 0.9858 0.3475 0.8024
Pt15 0.9948 0.5508 0.7986
Pt16 0.9948 0.9492 0.2986

This entry pairs a crystal structure of TlHg2AuS4 with its simulated powder X-ray diffraction pattern. Radiation: Cu Ka. Structure: DFT lattice parameters and positions (PBE).
Kinematic intensities with the Lorentz-polarization factor, no thermal factor.

Most intense lines, 2θ from 5° to 70°, by angle:
2θ 25.85, intensity 100
2θ 29.94, intensity 35
2θ 42.85, intensity 52
2θ 50.73, intensity 49
2θ 53.16, intensity 10
2θ 68.53, intensity 20

Structure:
a = 7.3128 Å, b = 7.3108 Å, c = 5.9674 Å
α = 65.93°, β = 65.90°, γ = 48.17°
Atoms (fractional coordinates):
Tl1 0.0000 0.0000 0.0000
Hg1 0.2506 0.2506 0.2494
Hg2 0.7506 0.7506 0.7494
Au1 0.5020 0.5020 0.4980
S1 0.1365 0.6205 0.8635
S2 0.3795 0.8652 0.1348
S3 0.6205 0.1365 0.3795
S4 0.8652 0.3795 0.6205

This entry pairs a crystal structure of Li7Hg2Pd3 with its simulated powder X-ray diffraction pattern. Radiation: Cu Ka. Structure: DFT lattice parameters and positions (PBE).
Kinematic intensities with the Lorentz-polarization factor, no thermal factor.

Most intense lines, 2θ from 5° to 70°, by angle:
2θ 6.00, intensity 87
2θ 18.08, intensity 100
2θ 21.05, intensity 33
2θ 36.44, intensity 32
2θ 37.49, intensity 41
2θ 39.46, intensity 51

Structure:
a = 14.9038 Å, b = 14.9038 Å, c = 2.9162 Å
α = 90.00°, β = 90.00°, γ = 161.95°
Atoms (fractional coordinates):
Li1 0.0000 0.0000 0.0000
Li2 0.0946 0.9054 0.5000
Li3 0.2766 0.7234 0.0000
Li4 0.4290 0.5710 0.0000
Li5 0.5710 0.4290 0.0000
Li6 0.7234 0.2766 0.0000
Li7 0.9054 0.0946 0.5000
Hg1 0.1774 0.8226 0.0000
Hg2 0.8226 0.1774 0.0000
Pd1 0.3559 0.6441 0.5000
Pd2 0.5000 0.5000 0.5000
Pd3 0.6441 0.3559 0.5000

This entry pairs a crystal structure of Ba2AlInO5 with its simulated powder X-ray diffraction pattern. Radiation: Cu Ka. Structure: DFT lattice parameters and positions (PBE).
Kinematic intensities with the Lorentz-polarization factor, no thermal factor.

Most intense lines, 2θ from 5° to 70°, by angle:
2θ 8.84, intensity 43
2θ 28.28, intensity 35
2θ 30.13, intensity 100
2θ 32.01, intensity 46
2θ 53.50, intensity 36
2θ 62.63, intensity 28

Structure:
a = 5.9315 Å, b = 5.9315 Å, c = 19.9960 Å
α = 90.00°, β = 90.00°, γ = 120.00°
Atoms (fractional coordinates):
Ba1 0.0000 0.0000 0.0000
Ba2 0.0000 0.0000 0.5000
Ba3 0.3333 0.6667 0.1055
Ba4 0.3333 0.6667 0.3945
Ba5 0.3333 0.6667 0.7500
Ba6 0.6667 0.3333 0.2500
Ba7 0.6667 0.3333 0.6055
Ba8 0.6667 0.3333 0.8945
Al1 0.0000 0.0000 0.1633
Al2 0.0000 0.0000 0.3367
Al3 0.0000 0.0000 0.6633
Al4 0.0000 0.0000 0.8367
In1 0.3333 0.6667 0.5669
In2 0.3333 0.6667 0.9331
In3 0.6667 0.3333 0.0669
In4 0.6667 0.3333 0.4331
O1 0.0000 0.0000 0.2500
O2 0.0000 0.0000 0.7500
O3 0.0000 0.5000 0.0000
O4 0.0000 0.5000 0.5000
O5 0.1632 0.3264 0.6344
O6 0.1632 0.3264 0.8656
O7 0.1632 0.8368 0.6344
O8 0.1632 0.8368 0.8656
O9 0.3264 0.1632 0.1344
O10 0.3264 0.1632 0.3656
O11 0.5000 0.0000 0.0000
O12 0.5000 0.0000 0.5000
O13 0.5000 0.5000 0.0000
O14 0.5000 0.5000 0.5000
O15 0.6736 0.8368 0.6344
O16 0.6736 0.8368 0.8656
O17 0.8368 0.1632 0.1344
O18 0.8368 0.1632 0.3656
O19 0.8368 0.6736 0.1344
O20 0.8368 0.6736 0.3656

This entry pairs a crystal structure of PaBe4Pd with its simulated powder X-ray diffraction pattern. Radiation: Cu Ka. Structure: DFT lattice parameters and positions (PBE).
Kinematic intensities with the Lorentz-polarization factor, no thermal factor.

Most intense lines, 2θ from 5° to 70°, by angle:
2θ 22.50, intensity 100
2θ 37.16, intensity 84
2θ 43.88, intensity 65
2θ 53.56, intensity 13
2θ 58.81, intensity 23
2θ 66.99, intensity 30

Structure:
a = 4.8394 Å, b = 4.8394 Å, c = 4.8394 Å
α = 60.00°, β = 60.00°, γ = 60.00°
Atoms (fractional coordinates):
Pa1 0.0000 0.0000 0.0000
Be1 0.3734 0.3734 0.3734
Be2 0.3734 0.3734 0.8797
Be3 0.3734 0.8797 0.3734
Be4 0.8797 0.3734 0.3734
Pd1 0.7500 0.7500 0.7500

This entry pairs a crystal structure of CaZnOs2O8 with its simulated powder X-ray diffraction pattern. Radiation: Cu Ka. Structure: DFT lattice parameters and positions (PBE).
Kinematic intensities with the Lorentz-polarization factor, no thermal factor.

Most intense lines, 2θ from 5° to 70°, by angle:
2θ 18.46, intensity 84
2θ 25.83, intensity 65
2θ 26.59, intensity 55
2θ 33.74, intensity 100
2θ 50.83, intensity 45
2θ 51.69, intensity 35

Structure:
a = 4.8094 Å, b = 4.8094 Å, c = 6.3742 Å
α = 90.00°, β = 90.00°, γ = 91.63°
Atoms (fractional coordinates):
Ca1 0.0000 0.0000 0.0000
Zn1 0.0000 0.0000 0.5000
Os1 0.5000 0.5000 0.2552
Os2 0.5000 0.5000 0.7448
O1 0.2283 0.2283 0.2680
O2 0.2283 0.2283 0.7320
O3 0.3125 0.6875 0.5000
O4 0.3287 0.6713 0.0000
O5 0.6713 0.3287 0.0000
O6 0.6875 0.3125 0.5000
O7 0.7717 0.7717 0.2680
O8 0.7717 0.7717 0.7320